No. 1
Theoretical powder diffraction line list of SrNd2Ru for Cu Kα (weighted mean of Kα1 and Kα2), from a crystal structure in Alexandria, relaxed with GGA-PBE.

Peak list (10 most intense, 10° ≤ 2θ ≤ 90°, in order of rising 2θ)
d [Å]  I (rel.)
3.235  39
3.188  15
3.064  100
2.549  40
2.092  47
1.885  30
1.749  17
1.728  19
1.332  16
1.268  16

Atomic structure:
```
SrNd2Ru
1.0
4.1847 0.0000 0.0000
-2.0924 3.6241 0.0000
0.0000 0.0000 28.6950
Sr Nd Ru
3 6 3
Cartesian
0.0000 0.0000 0.0000 Sr
0.0000 2.4160 19.1300 Sr
2.0924 1.2080 9.5650 Sr
0.0000 0.0000 15.7791 Nd
0.0000 0.0000 22.4198 Nd
0.0000 2.4160 6.2141 Nd
0.0000 2.4160 12.8548 Nd
2.0924 1.2080 3.2898 Nd
2.0924 1.2080 25.3441 Nd
0.0000 0.0000 4.7508 Ru
0.0000 2.4160 23.8808 Ru
2.0924 1.2080 14.3159 Ru
```



No. 2
Theoretical powder diffraction line list of Nd6Te2Ru for Cu Kα (weighted mean of Kα1 and Kα2), from a crystal structure in Alexandria, relaxed with GGA-PBE.

Peak list (10 most intense, 10° ≤ 2θ ≤ 90°, in order of rising 2θ)
d [Å]  I (rel.)
3.313  33
3.230  69
2.939  100
2.926  40
2.862  37
2.668  75
2.635  60
2.576  40
2.515  69
1.765  39

Atomic structure:
```
Nd6Te2Ru
1.0
6.5139 0.0000 0.0000
0.0000 8.1790 0.0000
-6.0375 0.0000 10.5377
Nd Te Ru
12 4 2
Cartesian
-2.1454 1.5096 4.8262 Nd
-5.1642 2.5799 10.0950 Nd
-0.6999 5.5509 4.8516 Nd
-3.7186 6.7175 10.1205 Nd
0.9155 0.1582 2.6374 Nd
-2.1032 3.9313 7.9062 Nd
2.5796 4.2477 2.6315 Nd
-0.4391 8.0208 7.9004 Nd
4.1950 1.4615 0.4172 Nd
1.1763 2.6280 5.6861 Nd
5.6406 5.5991 0.4427 Nd
2.6218 6.6694 5.7115 Nd
-3.5012 0.9311 7.8876 Te
-0.4825 3.1584 2.6187 Te
0.9589 5.0206 7.9190 Te
3.9776 7.2479 2.6502 Te
0.2382 0.0000 5.2689 Ru
3.2569 4.0895 0.0000 Ru
```



No. 3
Theoretical powder diffraction line list of Nd5TlRu for Cu Kα (weighted mean of Kα1 and Kα2), from a crystal structure in Alexandria, relaxed with GGA-PBE.

Peak list (10 most intense, 10° ≤ 2θ ≤ 90°, in order of rising 2θ)
d [Å]  I (rel.)
3.198  32
3.015  100
2.975  87
2.859  78
2.714  39
2.471  20
2.342  23
2.303  19
1.895  17
1.773  14

Atomic structure:
```
Nd5TlRu
1.0
4.9099 -3.8420 0.0000
4.9099 3.8420 0.0000
-3.5731 0.0000 11.5057
Nd Tl Ru
10 2 2
Cartesian
2.2301 3.8197 8.6293 Nd
1.9482 1.3111 1.4536 Nd
2.1379 1.3170 5.0999 Nd
0.1617 -1.3111 7.2064 Nd
5.8954 1.3170 0.6529 Nd
0.3513 -1.3170 10.8528 Nd
6.0850 1.3111 4.2993 Nd
4.1088 -1.3170 6.4058 Nd
4.2985 -1.3111 10.0522 Nd
4.0166 -3.8197 2.8764 Nd
2.2301 0.6515 8.6293 Tl
4.0166 -0.6515 2.8764 Tl
0.0000 0.0000 0.0000 Ru
-1.7865 0.0000 5.7529 Ru
```



No. 4
Theoretical powder diffraction line list of Nd6Tl3Ru for Cu Kα (weighted mean of Kα1 and Kα2), from a crystal structure in Alexandria, relaxed with GGA-PBE.

Peak list (10 most intense, 10° ≤ 2θ ≤ 90°, in order of rising 2θ)
d [Å]  I (rel.)
2.884  14
2.751  61
2.736  100
2.674  8
2.666  8
2.460  10
1.941  12
1.936  8
1.582  17
1.580  16

Atomic structure:
```
Nd6Tl3Ru
1.0
9.5388 0.0000 0.0000
0.0000 5.4765 0.0000
-3.2633 0.0000 11.1774
Nd Tl Ru
12 6 2
Cartesian
-0.9573 1.3691 4.6050 Nd
1.2821 4.1074 1.8478 Nd
2.7594 1.3691 0.0024 Nd
0.6403 4.1074 9.2895 Nd
2.4668 1.3691 3.8977 Nd
1.7420 1.3691 7.2033 Nd
4.5334 4.1074 3.9742 Nd
3.8087 4.1074 7.2797 Nd
5.6351 1.3691 1.8880 Nd
3.5161 4.1074 11.1751 Nd
4.9933 1.3691 9.3297 Nd
7.2328 4.1074 6.5724 Nd
-2.7831 4.1074 9.8386 Tl
-1.4213 1.3691 8.0190 Tl
1.0466 4.1074 5.3194 Tl
5.2288 1.3691 5.8580 Tl
7.6967 4.1074 3.1584 Tl
9.0586 1.3691 1.3389 Tl
4.0902 4.1074 1.0750 Ru
2.1852 1.3691 10.1025 Ru
```



No. 5
Theoretical powder diffraction line list of Nd6TlRu2 for Cu Kα (weighted mean of Kα1 and Kα2), from a crystal structure in Alexandria, relaxed with GGA-PBE.

Peak list (10 most intense, 10° ≤ 2θ ≤ 90°, in order of rising 2θ)
d [Å]  I (rel.)
3.446  22
3.121  22
3.080  21
2.884  19
2.861  100
2.689  43
2.601  63
2.313  36
2.258  15
1.547  16

Atomic structure:
```
Nd6TlRu2
1.0
5.2628 -2.6006 0.0000
5.2628 2.6006 0.0000
-2.0345 0.0000 9.2404
Nd Tl Ru
6 1 2
Cartesian
-0.3613 0.0000 3.2171 Nd
1.7599 0.0000 6.1065 Nd
3.2669 0.0000 1.1068 Nd
5.2242 0.0000 8.1336 Nd
6.7311 0.0000 3.1339 Nd
8.8524 0.0000 6.0232 Nd
0.0000 0.0000 0.0000 Tl
3.2182 0.0000 3.7334 Ru
5.2729 0.0000 5.5069 Ru
```



No. 6
Theoretical powder diffraction line list of Nd6Tl3Ru for Cu Kα (weighted mean of Kα1 and Kα2), from a crystal structure in Alexandria, relaxed with GGA-PBE.

Peak list (10 most intense, 10° ≤ 2θ ≤ 90°, in order of rising 2θ)
d [Å]  I (rel.)
3.044  46
3.034  44
3.019  37
2.982  17
2.735  57
2.692  100
2.030  12
2.024  12
2.002  23
1.570  19

Atomic structure:
```
Nd6Tl3Ru
1.0
5.4691 0.0000 0.0000
0.0000 9.2779 0.0000
-5.4235 0.0000 11.9278
Nd Tl Ru
12 6 2
Cartesian
-0.0227 1.8109 0.8489 Nd
-2.7345 2.8280 6.8128 Nd
0.0604 4.7334 2.8375 Nd
-2.6513 9.1835 8.8014 Nd
-0.0345 1.4020 4.9887 Nd
-2.7463 3.2369 10.9526 Nd
2.7918 6.0410 0.9752 Nd
0.0801 7.8759 6.9391 Nd
2.6969 0.0944 3.1264 Nd
-0.0148 4.5445 9.0903 Nd
2.7800 6.4499 5.1150 Nd
0.0683 7.4670 11.0789 Nd
-2.7432 6.0723 8.8181 Tl
-0.0314 7.8446 2.8542 Tl
2.7345 0.0000 0.0000 Tl
0.0228 4.6390 5.9639 Tl
0.0770 1.4333 9.0736 Tl
2.7887 3.2056 3.1097 Tl
-2.7117 0.0000 5.9639 Ru
0.0000 4.6390 0.0000 Ru
```



No. 7
Theoretical powder diffraction line list of NdTm3Ru4 for Cu Kα (weighted mean of Kα1 and Kα2), from a crystal structure in Alexandria, relaxed with GGA-PBE.

Peak list (10 most intense, 10° ≤ 2θ ≤ 90°, in order of rising 2θ)
d [Å]  I (rel.)
3.392  12
2.404  100
2.394  100
1.956  3
1.696  34
1.390  17
1.384  35
1.382  17
1.202  11
1.197  11

Atomic structure:
```
NdTm3Ru4
1.0
2.3936 1.3819 7.8675
-2.3936 1.3819 7.8675
0.0000 -2.7638 7.8675
Nd Tm Ru
1 3 4
Cartesian
0.0000 0.0000 0.0000 Nd
0.0000 0.0000 5.8407 Tm
0.0000 0.0000 11.8012 Tm
0.0000 0.0000 17.7618 Tm
0.0000 0.0000 2.9824 Ru
0.0000 0.0000 8.8873 Ru
0.0000 0.0000 14.7151 Ru
0.0000 0.0000 20.6201 Ru
```



No. 8
Theoretical powder diffraction line list of Nd2U3Ru4 for Cu Kα (weighted mean of Kα1 and Kα2), from a crystal structure in Alexandria, relaxed with GGA-PBE.

Peak list (10 most intense, 10° ≤ 2θ ≤ 90°, in order of rising 2θ)
d [Å]  I (rel.)
4.359  51
3.713  27
3.564  56
2.750  43
2.701  41
2.622  25
2.505  62
2.469  100
2.148  55
1.601  24

Atomic structure:
```
Nd2U3Ru4
1.0
-3.4411 7.0899 4.3591
3.4411 -7.0899 4.3591
3.4411 7.0899 -4.3591
Nd U Ru
4 6 8
Cartesian
1.1667 1.2553 0.0000 Nd
1.1667 -1.2553 4.3591 Nd
2.2744 8.3452 0.0000 Nd
2.2744 5.8345 4.3591 Nd
3.4411 -3.3649 2.1796 U
3.4411 0.0000 2.1796 U
3.4411 3.3649 2.1796 U
0.0000 3.7250 2.1796 U
0.0000 7.0899 2.1796 U
0.0000 10.4548 2.1796 U
1.7115 -1.8190 1.4001 Ru
1.7295 5.2708 -1.4001 Ru
5.1706 1.8190 1.4001 Ru
1.7115 1.8190 2.9590 Ru
1.7295 5.2708 1.4001 Ru
-1.7295 5.2708 2.9590 Ru
1.7115 1.8190 5.7592 Ru
1.7295 8.9089 2.9590 Ru
```



No. 9
Theoretical powder diffraction line list of Nd5Y3Ru2 for Cu Kα (weighted mean of Kα1 and Kα2), from a crystal structure in Alexandria, relaxed with GGA-PBE.

Peak list (10 most intense, 10° ≤ 2θ ≤ 90°, in order of rising 2θ)
d [Å]  I (rel.)
4.602  23
3.140  40
3.105  24
3.072  35
3.009  100
2.526  41
2.473  38
2.358  30
2.301  32
1.786  20

Atomic structure:
```
Nd5Y3Ru2
1.0
-6.2770 7.1441 3.4280
6.2770 -7.1441 3.4280
6.2770 7.1441 -3.4280
Nd Y Ru
10 6 4
Cartesian
6.2770 3.8611 -1.7140 Nd
2.7101 0.8444 0.0000 Nd
0.0000 0.0000 1.7140 Nd
2.7101 -0.8444 3.4280 Nd
0.0000 3.2830 1.7140 Nd
6.2770 3.8611 1.7140 Nd
3.5669 7.9884 0.0000 Nd
0.0000 0.0000 5.1420 Nd
3.5669 6.2997 3.4280 Nd
0.0000 3.2830 5.1420 Nd
9.3461 2.6764 0.0000 Y
6.2770 0.0000 1.7140 Y
3.0691 4.4676 0.0000 Y
3.2080 2.6764 3.4280 Y
0.0000 7.1441 1.7140 Y
-3.0691 4.4676 3.4280 Y
4.9018 2.2021 0.0000 Ru
4.9018 -2.2021 3.4280 Ru
1.3752 9.3462 0.0000 Ru
1.3752 4.9420 3.4280 Ru
```



No. 10
Theoretical powder diffraction line list of Nd2Zn5Ru5 for Cu Kα (weighted mean of Kα1 and Kα2), from a crystal structure in Alexandria, relaxed with GGA-PBE.

Peak list (10 most intense, 10° ≤ 2θ ≤ 90°, in order of rising 2θ)
d [Å]  I (rel.)
3.147  31
3.104  45
2.357  28
2.285  48
2.271  100
2.222  55
2.114  48
2.010  24
1.552  28
1.136  27

Atomic structure:
```
Nd2Zn5Ru5
1.0
4.2287 0.0000 0.0000
0.0000 5.2244 0.0000
0.0000 0.0000 9.4262
Nd Zn Ru
2 5 5
Cartesian
0.0000 0.0000 0.0000 Nd
0.0000 2.6122 4.7131 Nd
0.0000 0.0000 3.1009 Zn
0.0000 0.0000 6.3253 Zn
0.0000 2.6122 1.5740 Zn
0.0000 2.6122 7.8522 Zn
2.1143 0.0000 4.7131 Zn
2.1143 1.2803 2.3534 Ru
2.1143 1.2803 7.0728 Ru
2.1143 2.6122 0.0000 Ru
2.1143 3.9441 2.3534 Ru
2.1143 3.9441 7.0728 Ru
```



No. 11
Theoretical powder diffraction line list of NdZn4Ru for Cu Kα (weighted mean of Kα1 and Kα2), from a crystal structure in Alexandria, relaxed with GGA-PBE.

Peak list (10 most intense, 10° ≤ 2θ ≤ 90°, in order of rising 2θ)
d [Å]  I (rel.)
3.961  19
2.829  41
2.619  100
2.495  72
2.214  33
2.190  74
2.099  19
2.021  47
1.981  27
1.493  19

Atomic structure:
```
NdZn4Ru
1.0
7.9223 0.0000 0.0000
0.0000 4.0423 0.0000
0.0000 0.0000 6.9190
Nd Zn Ru
2 8 2
Cartesian
1.9806 0.0000 0.7789 Nd
5.9417 0.0000 6.1400 Nd
0.0000 0.0000 3.4595 Zn
0.4276 2.0212 5.5463 Zn
1.9806 2.0212 3.2243 Zn
3.5335 2.0212 5.5463 Zn
3.9611 0.0000 3.4595 Zn
4.3887 2.0212 1.3727 Zn
5.9417 2.0212 3.6947 Zn
7.4946 2.0212 1.3727 Zn
1.9806 0.0000 4.9648 Ru
5.9417 0.0000 1.9541 Ru
```



No. 12
Theoretical powder diffraction line list of Nd5S9 for Cu Kα (weighted mean of Kα1 and Kα2), from a crystal structure in Alexandria, relaxed with GGA-PBE.

Peak list (10 most intense, 10° ≤ 2θ ≤ 90°, in order of rising 2θ)
d [Å]  I (rel.)
4.057  33
3.573  100
2.864  25
2.766  22
2.703  18
2.343  15
2.337  16
2.285  30
2.237  45
1.990  28

Atomic structure:
```
Nd5S9
1.0
11.8013 -2.7661 0.0000
11.8013 2.7661 0.0000
-1.4029 0.0000 9.8470
Nd S
10 18
Cartesian
-0.1713 0.0000 2.3249 Nd
4.4946 -0.0048 1.5173 Nd
3.9185 -0.0981 6.1778 Nd
9.4973 0.0601 0.4152 Nd
8.5500 -0.0177 5.6496 Nd
12.7025 0.0601 9.4318 Nd
13.6497 -0.0177 4.1974 Nd
17.7052 -0.0048 8.3297 Nd
18.2813 -0.0981 3.6692 Nd
22.3711 0.0000 7.5221 Nd
7.0446 1.4972 1.0963 S
1.7799 0.0381 0.1253 S
2.4279 -0.0040 3.6701 S
9.2749 1.3679 3.2308 S
11.0999 1.3709 4.9235 S
6.0271 -0.0929 4.1533 S
6.5062 -0.0024 7.7535 S
12.9249 1.3679 6.6162 S
15.1551 1.4972 8.7507 S
10.0980 -0.0033 8.1022 S
12.1018 -0.0033 1.7448 S
7.1680 -1.5065 1.2371 S
15.6935 -0.0024 2.0935 S
16.1726 -0.0929 5.6936 S
11.0999 -1.3979 4.9235 S
19.7718 -0.0040 6.1769 S
20.4198 0.0381 9.7216 S
15.0317 -1.5065 8.6099 S
```



- Number 10 is which compound?
  Nd2Zn5Ru5



- Which formula does entry 10 have?
  Nd2Zn5Ru5